Starting from a PBE-relaxed structure, the X-ray powder pattern of AcAu3 was computed for Cu Ka.

Principal peaks in the range 2θ = 5–70°, low angle first:
d = 2.994 Å, intensity 25.5, (2 0 0); d = 2.536 Å, intensity 100.0, (2 0 1); d = 2.384 Å, intensity 20.4, (0 0 2); d = 2.264 Å, intensity 5.0, (2 1 0); d = 1.865 Å, intensity 13.4, (2 0 2); d = 1.841 Å, intensity 6.6, (3 0 1); d = 1.729 Å, intensity 17.8, (2 2 0); d = 1.428 Å, intensity 12.6, (4 0 1); d = 1.404 Å, intensity 16.4, (2 0 3); d = 1.400 Å, intensity 17.9, (2 2 2)

Structural model:
```
data_AcAu3
_space_group_name_H-M_alt 'P 63/m m c'
_space_group_IT_number 194
_space_group_name_Hall '-P 6c 2c'
_cell_length_a 6.9153
_cell_length_b 6.9153
_cell_length_c 4.7680
_cell_angle_alpha 90.00
_cell_angle_beta 90.00
_cell_angle_gamma 120.00
loop_
_atom_site_label
_atom_site_type_symbol
_atom_site_fract_x
_atom_site_fract_y
_atom_site_fract_z
Ac1 Ac 0.3333 0.6667 0.2500
Au1 Au 0.1470 0.2941 0.7500
```